# 1
Structure and calculated powder XRD pattern of Rb2LiSb2O4 (a cell relaxed with PBE; Cu Kα (λ = 1.5418 Å)).
Lines closer than 0.1° are merged.

Cell and atoms:
```
data_Rb2LiSb2O4
_symmetry_space_group_name_H-M 'P 1'
_symmetry_Int_Tables_number 1
_symmetry_space_group_name_Hall 'P 1'
_cell_length_a 5.7294
_cell_length_b 6.3870
_cell_length_c 6.4506
_cell_angle_alpha 119.20
_cell_angle_beta 97.41
_cell_angle_gamma 98.23
loop_
_atom_site_label
_atom_site_fract_x
_atom_site_fract_y
_atom_site_fract_z
Rb1 0.0000 0.0000 0.0000
Rb2 0.3170 0.7825 0.4886
Li1 0.7432 0.4597 0.1458
Sb1 0.3257 0.4743 0.8449
Sb2 0.7634 0.3152 0.5615
O1 0.1080 0.2292 0.5157
O2 0.4136 0.2654 0.9683
O3 0.8328 0.5793 0.4895
O4 0.9502 0.4860 0.9200
```

Main lines, sorted by position (2θ = 10–90°):
- hkl 0 1 -1, 16.0°, rel. 46.8
- hkl 0 0 1, 16.2°, rel. 56.2
- hkl 0 1 0, 16.4°, rel. 37.9
- hkl 1 -1 1, 22.6°, rel. 64.6
- hkl 1 1 0, 25.6°, rel. 51.0
- hkl 0 2 -1, 28.2°, rel. 100.0
- hkl -1 1 1, 28.8°, rel. 79.9
- hkl 1 1 -2, 30.5°, rel. 70.5
- hkl 2 0 0, 32.5°, rel. 27.7
- hkl 2 -1 0, 32.7°, rel. 65.4
- hkl 2 0 -1, 32.8°, rel. 47.3
- hkl 1 3 -1, 50.1°, rel. 27.2

---

# 2
Structure and calculated powder XRD pattern of Pm2CuSi (a cell relaxed with PBE; Cu Kα (λ = 1.5418 Å)).
Lines closer than 0.1° are merged.

Cell and atoms:
```
data_Pm2CuSi
_symmetry_space_group_name_H-M 'F m -3 m'
_symmetry_Int_Tables_number 225
_symmetry_space_group_name_Hall '-F 4 2 3'
_cell_length_a 7.1663
_cell_length_b 7.1663
_cell_length_c 7.1663
_cell_angle_alpha 90.00
_cell_angle_beta 90.00
_cell_angle_gamma 90.00
loop_
_atom_site_label
_atom_site_fract_x
_atom_site_fract_y
_atom_site_fract_z
Pm1 0.2500 0.2500 0.2500
Cu1 0.0000 0.0000 0.0000
Si1 0.0000 0.0000 0.5000
```

Main lines, sorted by position (2θ = 10–90°):
- hkl 1 1 1, 21.5°, rel. 2.4
- hkl 2 0 0, 24.8°, rel. 30.8
- hkl 2 2 0, 35.4°, rel. 100.0
- hkl 3 1 1, 41.8°, rel. 1.4
- hkl 2 2 2, 43.8°, rel. 9.4
- hkl 4 0 0, 51.0°, rel. 17.5
- hkl 3 3 1, 55.9°, rel. 0.5
- hkl 4 2 0, 57.5°, rel. 12.8
- hkl 4 2 2, 63.6°, rel. 35.6
- hkl 4 4 0, 75.0°, rel. 10.9
- hkl 6 0 0, 80.4°, rel. 6.3
- hkl 6 2 0, 85.7°, rel. 15.6

---

# 3
Structure and calculated powder XRD pattern of Tm2CoGe4 (a cell relaxed with PBE; Cu Kα (λ = 1.5418 Å)).
Lines closer than 0.1° are merged.

Cell and atoms:
```
data_Tm2CoGe4
_symmetry_space_group_name_H-M 'A m m 2'
_symmetry_Int_Tables_number 38
_symmetry_space_group_name_Hall 'A 2 -2'
_cell_length_a 4.0716
_cell_length_b 4.0789
_cell_length_c 15.8078
_cell_angle_alpha 90.00
_cell_angle_beta 90.00
_cell_angle_gamma 90.00
loop_
_atom_site_label
_atom_site_fract_x
_atom_site_fract_y
_atom_site_fract_z
Tm1 0.0000 0.0000 0.0000
Tm2 0.5000 0.0000 0.2099
Co1 0.0000 0.0000 0.7953
Ge1 0.0000 0.0000 0.3656
Ge2 0.0000 0.0000 0.6515
Ge3 0.5000 0.0000 0.5492
Ge4 0.5000 0.0000 0.8635
```

Main lines, sorted by position (2θ = 10–90°):
- hkl 1 0 2, 24.6°, rel. 16.0
- hkl 1 1 1, 31.6°, rel. 13.2
- hkl 0 0 6, 34.0°, rel. 13.3
- hkl 1 1 3, 35.5°, rel. 100.0
- hkl 0 1 5, 35.9°, rel. 23.7
- hkl 1 0 6, 40.8°, rel. 20.3
- hkl 2 0 0, 44.5°, rel. 41.7
- hkl 0 1 9, 57.1°, rel. 20.8
- hkl 1 2 6, 61.9°, rel. 16.5
- hkl 2 2 0, 64.7°, rel. 13.4
- hkl 2 1 9, 75.1°, rel. 13.1
- hkl 1 3 3, 76.0°, rel. 13.3

---

# 4
Structure and calculated powder XRD pattern of LiSiBiO4 (a cell relaxed with PBE; Cu Kα (λ = 1.5418 Å)).
Lines closer than 0.1° are merged.

Cell and atoms:
```
data_LiSiBiO4
_symmetry_space_group_name_H-M 'R 3'
_symmetry_Int_Tables_number 146
_symmetry_space_group_name_Hall 'R 3'
_cell_length_a 14.4428
_cell_length_b 14.4428
_cell_length_c 9.8626
_cell_angle_alpha 90.00
_cell_angle_beta 90.00
_cell_angle_gamma 120.00
loop_
_atom_site_label
_atom_site_fract_x
_atom_site_fract_y
_atom_site_fract_z
Li1 0.0328 0.2301 0.0000
Li2 0.1449 0.6816 0.1567
Si1 0.0060 0.2035 0.3270
Si2 0.1361 0.6991 0.4931
Bi1 0.0332 0.2106 0.6699
Bi2 0.1484 0.6899 0.8114
O1 0.0007 0.6509 0.1325
O2 0.0084 0.3188 0.3197
O3 0.0485 0.1822 0.1814
O4 0.0737 0.1972 0.4568
O5 0.0815 0.8658 0.8864
O6 0.1894 0.1304 0.6802
O7 0.2050 0.4098 0.6065
O8 0.2136 0.7773 0.0099
```

Main lines, sorted by position (2θ = 10–90°):
- hkl 0 1 2, 19.3°, rel. 41.3
- hkl 2 1 1, 20.8°, rel. 100.0
- hkl 2 2 0, 24.7°, rel. 27.0
- hkl 1 2 2, 26.1°, rel. 24.3
- hkl 4 -3 1, 27.3°, rel. 29.0
- hkl 2 -1 3, 29.9°, rel. 33.9
- hkl 1 4 0, 32.8°, rel. 46.3
- hkl 4 -2 3, 37.0°, rel. 34.2
- hkl 5 0 2, 40.4°, rel. 17.9
- hkl 2 1 4, 41.3°, rel. 19.5
- hkl 1 5 2, 44.3°, rel. 17.6
- hkl 5 2 3, 53.6°, rel. 16.4

---

# 5
Structure and calculated powder XRD pattern of Rb2NbHgF6 (a cell relaxed with PBE; Cu Kα (λ = 1.5418 Å)).
Lines closer than 0.1° are merged.

Cell and atoms:
```
data_Rb2NbHgF6
_symmetry_space_group_name_H-M 'F m -3 m'
_symmetry_Int_Tables_number 225
_symmetry_space_group_name_Hall '-F 4 2 3'
_cell_length_a 9.9350
_cell_length_b 9.9350
_cell_length_c 9.9350
_cell_angle_alpha 90.00
_cell_angle_beta 90.00
_cell_angle_gamma 90.00
loop_
_atom_site_label
_atom_site_fract_x
_atom_site_fract_y
_atom_site_fract_z
Rb1 0.2500 0.2500 0.2500
Nb1 0.0000 0.0000 0.0000
Hg1 0.0000 0.0000 0.5000
F1 0.0000 0.0000 0.2024
```

Main lines, sorted by position (2θ = 10–90°):
- hkl 2 0 0, 17.9°, rel. 16.8
- hkl 2 2 0, 25.4°, rel. 100.0
- hkl 3 1 1, 29.8°, rel. 8.4
- hkl 4 0 0, 36.2°, rel. 32.0
- hkl 3 3 1, 39.5°, rel. 7.6
- hkl 4 2 0, 40.6°, rel. 6.2
- hkl 4 2 2, 44.7°, rel. 39.5
- hkl 4 4 0, 52.1°, rel. 19.9
- hkl 6 2 0, 58.8°, rel. 22.9
- hkl 6 4 2, 71.0°, rel. 24.0
- hkl 6 6 0, 82.4°, rel. 11.1
- hkl 8 4 0, 87.9°, rel. 7.9

---

# 6
Structure and calculated powder XRD pattern of Ba2PrCu3O6 (a cell relaxed with PBE; Cu Kα (λ = 1.5418 Å)).
Lines closer than 0.1° are merged.

Cell and atoms:
```
data_Ba2PrCu3O6
_symmetry_space_group_name_H-M 'P 4/m m m'
_symmetry_Int_Tables_number 123
_symmetry_space_group_name_Hall '-P 4 2'
_cell_length_a 3.9279
_cell_length_b 3.9279
_cell_length_c 12.2391
_cell_angle_alpha 90.00
_cell_angle_beta 90.00
_cell_angle_gamma 90.00
loop_
_atom_site_label
_atom_site_fract_x
_atom_site_fract_y
_atom_site_fract_z
Ba1 0.0000 0.0000 0.1947
Pr1 0.0000 0.0000 0.5000
Cu1 0.5000 0.5000 0.0000
Cu2 0.5000 0.5000 0.3612
O1 0.0000 0.5000 0.3729
O2 0.5000 0.5000 0.1479
```

Main lines, sorted by position (2θ = 10–90°):
- hkl 1 0 0, 22.6°, rel. 10.6
- hkl 1 0 3, 31.6°, rel. 100.0
- hkl 1 1 0, 32.2°, rel. 57.5
- hkl 1 0 4, 37.3°, rel. 17.8
- hkl 1 1 3, 39.2°, rel. 13.2
- hkl 2 0 0, 46.2°, rel. 30.6
- hkl 1 1 6, 55.9°, rel. 12.6
- hkl 2 1 3, 57.1°, rel. 36.7
- hkl 2 1 4, 60.8°, rel. 8.0
- hkl 2 0 6, 66.0°, rel. 7.7
- hkl 2 2 0, 67.4°, rel. 9.2
- hkl 3 1 0, 76.7°, rel. 9.2